This entry pairs a crystal structure of PmErMg2Au4 with its simulated powder X-ray diffraction pattern. Radiation: Cu Kα X-rays. Structure: a crystal structure in Alexandria, relaxed with GGA-PBE.
Intensities are scaled so that the largest is 100.

Main lines, by angle (2θ from 5° to 70°):
2theta, d_spacing, I (rel.)
22.05, 4.031, 12.1
25.51, 3.491, 16.6
36.40, 2.469, 100.0
42.96, 2.105, 6.5
44.98, 2.016, 5.0
52.42, 1.746, 17.5
57.58, 1.601, 1.4
59.18, 1.561, 6.5
65.48, 1.426, 26.4
65.54, 1.424, 9.2

```
PmErMg2Au4
1.0
2.467 1.424 8.073
-2.467 1.424 8.073
0.000 -2.849 8.073
Pm Er Mg Au
1 1 2 4
Direct
0.000 0.000 0.000
0.500 0.500 0.500
0.249 0.249 0.249
0.751 0.751 0.751
0.129 0.129 0.129
0.379 0.379 0.379
0.621 0.621 0.621
0.871 0.871 0.871
```